Structure and calculated powder diffractogram of Ta3TcH8 (a PBE-relaxed structure; Cu Kα, 1.54184 Å).
Neutral-atom scattering factors, no anomalous dispersion.

Cell and atoms:
```
data_Ta3TcH8
_cell_length_a 4.462
_cell_length_b 4.462
_cell_length_c 9.022
_cell_angle_alpha 90.00
_cell_angle_beta 90.00
_cell_angle_gamma 90.00
_symmetry_space_group_name_H-M 'I 4/m m m'
_symmetry_Int_Tables_number 139
_symmetry_space_group_name_Hall '-I 4 2'
loop_
_atom_site_label
_atom_site_type_symbol
_atom_site_fract_x
_atom_site_fract_y
_atom_site_fract_z
_atom_site_occupancy
Ta1 Ta 0.000 0.000 0.000 1
Ta2 Ta 0.000 0.500 0.250 1
Tc1 Tc 0.000 0.000 0.500 1
H1 H 0.245 0.245 0.379 1
```

Peak list (6 most intense, 2θ from 5° to 70°, low angle first)
d/Å	2theta	I (rel.)	h k l
2.585	34.70	100.0	1 1 2
2.255	39.97	16.4	0 0 4
2.231	40.43	31.9	2 0 0
1.586	58.16	23.3	2 0 4
1.357	69.22	13.5	1 1 6
1.347	69.85	26.4	3 1 2

---

Structure and calculated powder diffractogram of PmSmZn4 (a PBE-relaxed structure; Cu Kα, 1.54184 Å).
Neutral-atom scattering factors, no anomalous dispersion.

Cell and atoms:
```
data_PmSmZn4
_cell_length_a 4.568
_cell_length_b 7.359
_cell_length_c 7.538
_cell_angle_alpha 90.00
_cell_angle_beta 90.00
_cell_angle_gamma 90.00
_symmetry_space_group_name_H-M 'I m m 2'
_symmetry_Int_Tables_number 44
_symmetry_space_group_name_Hall 'I 2 -2'
loop_
_atom_site_label
_atom_site_type_symbol
_atom_site_fract_x
_atom_site_fract_y
_atom_site_fract_z
_atom_site_occupancy
Pm1 Pm 0.000 0.000 0.000 1
Sm1 Sm 0.000 0.500 0.076 1
Zn1 Zn 0.000 0.195 0.374 1
Zn2 Zn 0.000 0.305 0.704 1
```

Peak list (6 most intense, 2θ from 5° to 70°, low angle first)
d/Å	2theta	I (rel.)	h k l
2.704	33.13	31.5	1 1 2
2.679	33.45	100.0	1 2 1
2.633	34.05	40.7	0 2 2
2.284	39.46	33.7	2 0 0
2.202	41.00	46.1	1 0 3
1.725	53.08	22.7	2 2 2